# 1
# Co3Ru
Calculated X-ray powder pattern, Cu Kα (λ = 1.5418 Å). Input: a structure optimized by DFT (PBE).
Neutral-atom scattering factors, no anomalous dispersion.

The 8 most intense peaks (2θ = 10–90°), by angle:
d 8.107, intensity 11.3; d 2.242, intensity 26.9; d 2.027, intensity 24.2; d 1.962, intensity 100.0; d 1.503, intensity 14.2; d 1.294, intensity 15.6; d 1.157, intensity 16.0; d 1.091, intensity 17.9

Crystal structure
Cell: 2.5886 2.5886 8.1071 Å, 90.00 90.00 120.00°
Fractional positions:
1 Co 0.0000 0.0000 0.0000
2 Co 0.6667 0.3333 0.2418
3 Co 0.6667 0.3333 0.7582
4 Ru 0.0000 0.0000 0.5000

=====

# 2
# SrAlH4I
Calculated X-ray powder pattern, Cu Kα (λ = 1.5418 Å). Input: a structure optimized by DFT (PBE).
Neutral-atom scattering factors, no anomalous dispersion.

The 8 most intense peaks (2θ = 10–90°), by angle:
d 6.349, intensity 41.8; d 4.530, intensity 33.3; d 4.490, intensity 29.6; d 3.204, intensity 31.4; d 3.090, intensity 60.3; d 3.057, intensity 100.0; d 2.871, intensity 29.3; d 2.780, intensity 31.3

Crystal structure
Cell: 7.0607 7.0607 6.4080 Å, 90.46 90.46 51.90°
Fractional positions:
1 Sr 0.2232 0.2232 0.2745
2 Sr 0.7768 0.7768 0.7255
3 Al 0.0867 0.0867 0.7220
4 Al 0.9133 0.9133 0.2780
5 H 0.0386 0.0386 0.3264
6 H 0.0614 0.6479 0.3950
7 H 0.1098 0.1098 0.9688
8 H 0.3521 0.9386 0.6050
9 H 0.6479 0.0614 0.3950
10 H 0.8902 0.8902 0.0312
11 H 0.9386 0.3521 0.6050
12 H 0.9614 0.9614 0.6736
13 I 0.3650 0.3650 0.8371
14 I 0.6350 0.6350 0.1629

=====

# 3
# LiTcMo2
Calculated X-ray powder pattern, Cu Kα (λ = 1.5418 Å). Input: a structure optimized by DFT (PBE).
Neutral-atom scattering factors, no anomalous dispersion.

The 8 most intense peaks (2θ = 10–90°), by angle:
d 4.483, intensity 62.8; d 4.150, intensity 23.0; d 2.256, intensity 100.0; d 2.241, intensity 98.0; d 2.075, intensity 38.7; d 1.892, intensity 57.7; d 1.398, intensity 41.8; d 1.153, intensity 22.7

Crystal structure
Cell: 4.9311 4.9311 2.6883 Å, 90.00 90.00 114.62°
Fractional positions:
1 Li 0.0000 0.0000 0.0000
2 Tc 0.5000 0.5000 0.0000
3 Mo 0.0000 0.5000 0.5000
4 Mo 0.5000 0.0000 0.5000

=====

# 4
# CeErTh2
Calculated X-ray powder pattern, Cu Kα (λ = 1.5418 Å). Input: a structure optimized by DFT (PBE).
Neutral-atom scattering factors, no anomalous dispersion.

The 8 most intense peaks (2θ = 10–90°), by angle:
d 2.870, intensity 100.0; d 2.495, intensity 34.3; d 2.467, intensity 16.4; d 1.764, intensity 12.3; d 1.754, intensity 23.9; d 1.503, intensity 29.3; d 1.491, intensity 13.9; d 1.435, intensity 12.4

Crystal structure
Cell: 3.5279 3.5279 9.8686 Å, 90.00 90.00 90.00°
Fractional positions:
1 Ce 0.0000 0.0000 0.0000
2 Er 0.0000 0.0000 0.5000
3 Th 0.5000 0.5000 0.2446
4 Th 0.5000 0.5000 0.7554

=====

# 5
# Cd3PdAu3
Calculated X-ray powder pattern, Cu Kα (λ = 1.5418 Å). Input: a structure optimized by DFT (PBE).
Neutral-atom scattering factors, no anomalous dispersion.

The 8 most intense peaks (2θ = 10–90°), by angle:
d 3.825, intensity 34.3; d 3.196, intensity 14.9; d 2.479, intensity 23.2; d 2.403, intensity 13.7; d 2.315, intensity 100.0; d 2.208, intensity 57.3; d 1.598, intensity 20.6; d 1.295, intensity 14.2

Crystal structure
Cell: 7.3041 7.3041 7.3041 Å, 63.16 63.16 63.16°
Fractional positions:
1 Cd 0.0841 0.7744 0.5100
2 Cd 0.2256 0.4900 0.9159
3 Cd 0.4900 0.9159 0.2256
4 Cd 0.5100 0.0841 0.7744
5 Cd 0.7744 0.5100 0.0841
6 Cd 0.9159 0.2256 0.4900
7 Pd 0.1024 0.1024 0.1024
8 Pd 0.8976 0.8976 0.8976
9 Au 0.0786 0.3543 0.6857
10 Au 0.3143 0.9214 0.6457
11 Au 0.3543 0.6857 0.0786
12 Au 0.6457 0.3143 0.9214
13 Au 0.6857 0.0786 0.3543
14 Au 0.9214 0.6457 0.3143

=====

# 6
# HoTlAuS2
Calculated X-ray powder pattern, Cu Kα (λ = 1.5418 Å). Input: a structure optimized by DFT (PBE).
Neutral-atom scattering factors, no anomalous dispersion.

The 8 most intense peaks (2θ = 10–90°), by angle:
d 6.613, intensity 50.3; d 3.404, intensity 49.0; d 3.307, intensity 92.0; d 2.997, intensity 42.7; d 2.983, intensity 100.0; d 2.545, intensity 98.8; d 2.531, intensity 77.0; d 1.634, intensity 42.1

Crystal structure
Cell: 6.8452 5.5139 7.3903 Å, 90.00 104.96 90.00°
Fractional positions:
1 Ho 0.0000 0.0010 0.2500
2 Ho 0.0000 0.9990 0.7500
3 Tl 0.5000 0.3088 0.2500
4 Tl 0.5000 0.6912 0.7500
5 Au 0.0000 0.5000 0.0000
6 Au 0.0000 0.5000 0.5000
7 S 0.2477 0.1804 0.5601
8 S 0.2477 0.8196 0.0601
9 S 0.7523 0.1804 0.9399
10 S 0.7523 0.8196 0.4399

=====

# 7
# Sr2PaMnS5
Calculated X-ray powder pattern, Cu Kα (λ = 1.5418 Å). Input: a structure optimized by DFT (PBE).
Neutral-atom scattering factors, no anomalous dispersion.

The 8 most intense peaks (2θ = 10–90°), by angle:
d 6.240, intensity 25.4; d 5.057, intensity 36.6; d 3.747, intensity 37.2; d 3.218, intensity 26.8; d 2.873, intensity 100.0; d 2.804, intensity 46.7; d 2.429, intensity 55.6; d 2.041, intensity 31.6

Crystal structure
Cell: 8.8716 8.8716 12.4792 Å, 90.00 90.00 153.39°
Fractional positions:
1 Sr 0.1060 0.8940 0.5000
2 Sr 0.1179 0.8821 0.1446
3 Sr 0.8821 0.1179 0.6446
4 Sr 0.8940 0.1060 0.0000
5 Pa 0.2014 0.7986 0.8369
6 Pa 0.7986 0.2014 0.3369
7 Mn 0.4384 0.5616 0.2563
8 Mn 0.5616 0.4384 0.7563
9 S 0.0473 0.9527 0.8526
10 S 0.2921 0.7079 0.4826
11 S 0.3046 0.6954 0.1914
12 S 0.3549 0.6451 0.8256
13 S 0.5004 0.4996 0.0911
14 S 0.4996 0.5004 0.5911
15 S 0.6451 0.3549 0.3256
16 S 0.6954 0.3046 0.6914
17 S 0.7079 0.2921 0.9826
18 S 0.9527 0.0473 0.3526